1.
Starting from a crystal structure in Alexandria, relaxed with GGA-PBE, the XRD peak list of Sr4PbS5 was calculated for Cu Kα (λ = 1.5418 Å).
Intensities are scaled so that the largest is 100.

Main lines, most intense first (5° ≤ 2θ ≤ 70°):
2θ (°)  intensity  hkl
29.5  100  1 1 0
42.2  73  2 0 0
25.5  53  1 0 5
69.5  33  3 1 0
50.0  28  2 1 5
5.8  27  0 0 2

Atomic structure:
a = 4.2776 Å, b = 4.2776 Å, c = 30.2815 Å
α = 90.00°, β = 90.00°, γ = 90.00°
Space group I4/mmm (No. 139)
Asymmetric unit:
Sr1 0.0000 0.0000 0.0991 (multiplicity 4)
Sr2 0.0000 0.0000 0.2999 (multiplicity 4)
Pb1 0.0000 0.0000 0.5000 (multiplicity 2)
S1 0.0000 0.0000 0.0000 (multiplicity 2)
S2 0.0000 0.0000 0.1998 (multiplicity 4)
S3 0.0000 0.0000 0.3999 (multiplicity 4)


2.
Starting from a crystal structure in Alexandria, relaxed with GGA-PBE, the XRD peak list of Sr3PbS4 was calculated for Cu Kα (λ = 1.5418 Å).
Intensities are scaled so that the largest is 100.

Main lines, most intense first (5° ≤ 2θ ≤ 70°):
2θ (°)  intensity  hkl
29.5  100  2 0 1
42.2  74  4 0 0
25.5  57  2 2 0
69.5  33  6 0 1
50.0  30  4 2 1
52.4  26  4 4 0

Atomic structure:
a = 8.5620 Å, b = 12.1086 Å, c = 4.2764 Å
α = 90.00°, β = 90.00°, γ = 90.00°
Space group Cmmm (No. 65)
Asymmetric unit:
Sr1 0.0000 0.0000 0.0000 (multiplicity 2)
Sr2 0.2500 0.2500 0.5000 (multiplicity 4)
Pb1 0.0000 0.5000 0.0000 (multiplicity 2)
S1 0.0000 0.2491 0.0000 (multiplicity 4)
S2 0.2477 0.0000 0.5000 (multiplicity 4)


3.
Starting from a crystal structure in Alexandria, relaxed with GGA-PBE, the XRD peak list of Ta3PbS was calculated for Cu Kα (λ = 1.5418 Å).
Intensities are scaled so that the largest is 100.

Main lines, most intense first (5° ≤ 2θ ≤ 70°):
2θ (°)  intensity  hkl
33.6  100  1 1 1
39.0  60  2 0 0
67.2  42  3 1 1
56.3  42  2 2 0
27.3  2  1 1 0
48.2  1  2 1 1

Atomic structure:
a = 4.6212 Å, b = 4.6212 Å, c = 4.6212 Å
α = 90.00°, β = 90.00°, γ = 90.00°
Space group Pm-3m (No. 221)
Asymmetric unit:
Ta1 0.0000 0.0000 0.5000 (multiplicity 3)
Pb1 0.5000 0.5000 0.5000 (multiplicity 1)
S1 0.0000 0.0000 0.0000 (multiplicity 1)


4.
Starting from a crystal structure in Alexandria, relaxed with GGA-PBE, the XRD peak list of Ta5PbS8 was calculated for Cu Kα (λ = 1.5418 Å).
Intensities are scaled so that the largest is 100.

Main lines, most intense first (5° ≤ 2θ ≤ 70°):
2θ (°)  intensity  hkl
19.5  100  0 0 2
40.3  97  3 1 -3
31.6  59  3 1 -1
39.7  50  3 1 2
54.6  47  9 1 -1
42.2  44  6 0 2

Atomic structure:
a = 17.6553 Å, b = 3.2928 Å, c = 9.4716 Å
α = 90.00°, β = 106.39°, γ = 90.00°
Space group Cm (No. 8)
Asymmetric unit:
Ta1 0.0000 0.0000 0.0000 (multiplicity 2)
Ta2 0.0253 0.0000 0.3674 (multiplicity 2)
Ta3 0.2243 0.5000 0.3608 (multiplicity 2)
Ta4 0.3735 0.0000 0.3580 (multiplicity 2)
Ta5 0.4227 0.0000 0.7415 (multiplicity 2)
Pb1 0.2049 0.0000 0.8243 (multiplicity 2)
S1 0.0639 0.5000 0.8770 (multiplicity 2)
S2 0.1215 0.5000 0.5181 (multiplicity 2)
S3 0.1263 0.0000 0.2145 (multiplicity 2)
S4 0.2913 0.0000 0.5439 (multiplicity 2)
S5 0.2919 0.5000 0.1737 (multiplicity 2)
S6 0.3602 0.5000 0.8662 (multiplicity 2)
S7 0.4559 0.0000 0.1752 (multiplicity 2)
S8 0.4557 0.5000 0.5559 (multiplicity 2)


5.
Starting from a crystal structure in Alexandria, relaxed with GGA-PBE, the XRD peak list of Ta3PbS6 was calculated for Cu Kα (λ = 1.5418 Å).
Intensities are scaled so that the largest is 100.

Main lines, most intense first (5° ≤ 2θ ≤ 70°):
2θ (°)  intensity  hkl
39.1  100  1 1 4
11.8  68  0 0 2
30.7  57  1 1 0
21.2  29  1 0 2
23.7  28  0 0 4
54.6  24  3 0 0

Atomic structure:
a = 5.8179 Å, b = 5.8179 Å, c = 15.0458 Å
α = 90.00°, β = 90.00°, γ = 120.00°
Space group P6_3/mcm (No. 193)
Asymmetric unit:
Ta1 0.0000 0.0000 0.2500 (multiplicity 2)
Ta2 0.3333 0.6667 0.2500 (multiplicity 4)
Pb1 0.0000 0.0000 0.0000 (multiplicity 2)
S1 0.0000 0.3363 0.1465 (multiplicity 12)


6.
Starting from a crystal structure in Alexandria, relaxed with GGA-PBE, the XRD peak list of TaTl2PbS4 was calculated for Cu Kα (λ = 1.5418 Å).
Intensities are scaled so that the largest is 100.

Main lines, most intense first (5° ≤ 2θ ≤ 70°):
2θ (°)  intensity  hkl
23.6  100  1 1 2
45.1  35  1 3 2
39.5  32  2 0 4
26.5  27  2 0 0
37.9  17  2 2 0
47.9  15  1 1 6

Atomic structure:
a = 6.7194 Å, b = 6.7194 Å, c = 12.4333 Å
α = 90.00°, β = 90.00°, γ = 90.00°
Space group I-4 (No. 82)
Asymmetric unit:
Ta1 0.0000 0.0000 0.0000 (multiplicity 2)
Tl1 0.0000 0.0000 0.5000 (multiplicity 2)
Tl2 0.0000 0.5000 0.2500 (multiplicity 2)
Pb1 0.0000 0.5000 0.7500 (multiplicity 2)
S1 0.1824 0.2129 0.8931 (multiplicity 8)